# 1
For Li5Fe3O2F10, DFT lattice parameters and positions (GGA+U) gives the calculated X-ray diffraction stick pattern in this record (copper Kα).
Neutral-atom scattering factors, no anomalous dispersion.

The 6 most intense peaks (2θ from 15° to 90°), sorted by position:
2θ 18.54, d 4.785, I 560; 2θ 19.65, d 4.517, I 510; 2θ 20.89, d 4.253, I 903; 2θ 24.33, d 3.658, I 628; 2θ 34.63, d 2.590, I 1000; 2θ 39.97, d 2.256, I 618

Unit cell a=5.151 b=5.564 c=8.940 alpha=105.87 beta=90.21 gamma=117.43
Fractional positions:
Li (0.000, 0.000, 0.000)
Li (0.054, 0.529, 0.519)
Li (0.515, 0.265, 0.273)
Li (0.716, 0.787, 0.365)
Li (0.801, 0.328, 0.859)
Fe (0.208, 0.503, 0.128)
Fe (0.216, 0.020, 0.624)
Fe (0.538, 0.800, 0.765)
O (0.175, 0.671, 0.718)
O (0.920, 0.026, 0.800)
F (0.130, 0.139, 0.219)
F (0.307, 0.850, 0.987)
F (0.325, 0.365, 0.471)
F (0.429, 0.445, 0.918)
F (0.432, 0.945, 0.416)
F (0.603, 0.678, 0.162)
F (0.618, 0.205, 0.665)
F (0.819, 0.787, 0.564)
F (0.836, 0.296, 0.073)
F (0.957, 0.539, 0.312)


# 2
For Na3V2PO9, DFT lattice parameters and positions (GGA+U) gives the calculated X-ray diffraction stick pattern in this record (copper Kα).
Neutral-atom scattering factors, no anomalous dispersion.

The 6 most intense peaks (2θ from 15° to 90°), sorted by position:
2θ 17.44, d 5.085, I 275; 2θ 24.58, d 3.621, I 576; 2θ 25.33, d 3.517, I 226; 2θ 27.17, d 3.282, I 1000; 2θ 27.87, d 3.202, I 399; 2θ 33.09, d 2.707, I 556

Unit cell a=7.230 b=10.147 c=12.027 alpha=79.70 beta=80.92 gamma=78.95
Fractional positions:
Na (0.000, 0.000, 0.000)
Na (0.000, 0.332, 0.335)
Na (0.423, 0.213, 0.651)
Na (0.425, 0.879, 0.317)
Na (0.433, 0.546, 0.982)
Na (0.618, 0.254, 0.883)
Na (0.619, 0.921, 0.550)
Na (0.620, 0.587, 0.212)
Na (0.807, 0.631, 0.440)
Na (0.808, 0.301, 0.106)
Na (0.809, 0.955, 0.777)
Na (0.997, 0.667, 0.672)
V (0.090, 0.651, 0.167)
V (0.091, 0.327, 0.845)
V (0.096, 0.987, 0.508)
V (0.503, 0.281, 0.371)
V (0.503, 0.615, 0.704)
V (0.503, 0.948, 0.037)
V (0.910, 0.279, 0.613)
V (0.910, 0.943, 0.277)
P (0.331, 0.565, 0.479)
P (0.331, 0.898, 0.812)
P (0.332, 0.231, 0.145)
P (0.908, 0.609, 0.946)
O (0.043, 0.657, 0.020)
O (0.052, 0.345, 0.697)
O (0.057, 0.004, 0.359)
O (0.062, 0.502, 0.879)
O (0.072, 0.825, 0.192)
O (0.079, 0.161, 0.533)
O (0.124, 0.628, 0.478)
O (0.125, 0.293, 0.145)
O (0.125, 0.962, 0.810)
O (0.313, 0.246, 0.850)
O (0.314, 0.573, 0.175)
O (0.318, 0.904, 0.515)
O (0.356, 0.075, 0.124)
O (0.356, 0.408, 0.457)
O (0.357, 0.742, 0.791)
O (0.370, 0.548, 0.611)
O (0.370, 0.881, 0.944)
O (0.371, 0.215, 0.277)
O (0.480, 0.302, 0.067)
O (0.480, 0.634, 0.399)
O (0.481, 0.968, 0.734)
O (0.585, 0.486, 0.799)
O (0.586, 0.153, 0.466)
O (0.586, 0.820, 0.134)
O (0.682, 0.015, 0.958)
O (0.682, 0.348, 0.291)
O (0.683, 0.681, 0.624)
O (0.737, 0.203, 0.695)
O (0.737, 0.869, 0.361)
O (0.759, 0.538, 0.024)
O (0.820, 0.069, 0.182)
O (0.821, 0.402, 0.516)
O (0.843, 0.725, 0.856)
O (0.936, 0.237, 0.928)
O (0.937, 0.569, 0.261)
O (0.937, 0.903, 0.595)


# 3
For MgCo6O8F4, DFT lattice parameters and positions (GGA+U) gives the calculated X-ray diffraction stick pattern in this record (copper Kα).
Neutral-atom scattering factors, no anomalous dispersion.

The 6 most intense peaks (2θ from 15° to 90°), sorted by position:
2θ 22.71, d 3.916, I 1000; 2θ 28.62, d 3.119, I 597; 2θ 36.05, d 2.491, I 390; 2θ 36.21, d 2.481, I 302; 2θ 49.44, d 1.844, I 294; 2θ 55.88, d 1.645, I 243

Unit cell a=4.967 b=5.821 c=7.664 alpha=78.69 beta=81.56 gamma=78.80
Fractional positions:
Mg (0.000, 0.000, 0.000)
Co (0.015, 0.806, 0.663)
Co (0.040, 0.168, 0.353)
Co (0.059, 0.507, 0.014)
Co (0.491, 0.290, 0.670)
Co (0.496, 0.639, 0.319)
Co (0.498, 0.970, 0.998)
O (0.205, 0.187, 0.107)
O (0.208, 0.853, 0.434)
O (0.214, 0.518, 0.772)
O (0.307, 0.721, 0.102)
O (0.318, 0.035, 0.797)
O (0.814, 0.103, 0.569)
O (0.824, 0.453, 0.235)
O (0.826, 0.778, 0.899)
F (0.312, 0.352, 0.437)
F (0.669, 0.575, 0.551)
F (0.695, 0.240, 0.902)
F (0.701, 0.934, 0.206)


# 4
For K2NiF6, DFT lattice parameters and positions (GGA+U) gives the calculated X-ray diffraction stick pattern in this record (copper Kα).
Neutral-atom scattering factors, no anomalous dispersion.

The 6 most intense peaks (2θ from 15° to 90°), sorted by position:
2θ 18.65, d 4.757, I 1000; 2θ 30.69, d 2.913, I 685; 2θ 36.16, d 2.484, I 236; 2θ 37.82, d 2.379, I 303; 2θ 43.96, d 2.060, I 583; 2θ 63.91, d 1.457, I 288

Unit cell a=5.826 b=5.826 c=5.826 alpha=60.00 beta=60.00 gamma=60.00
Fractional positions:
K (0.250, 0.250, 0.250)
K (0.750, 0.750, 0.750)
Ni (0.000, 0.000, 0.000)
F (0.219, 0.219, 0.781)
F (0.219, 0.781, 0.219)
F (0.219, 0.781, 0.781)
F (0.781, 0.219, 0.219)
F (0.781, 0.219, 0.781)
F (0.781, 0.781, 0.219)


# 5
For Rb3CrH6O6, DFT lattice parameters and positions (GGA+U) gives the calculated X-ray diffraction stick pattern in this record (copper Kα).
Neutral-atom scattering factors, no anomalous dispersion.

The 6 most intense peaks (2θ from 15° to 90°), sorted by position:
2θ 17.43, d 5.088, I 520; 2θ 27.33, d 3.263, I 756; 2θ 27.45, d 3.249, I 1000; 2θ 33.86, d 2.647, I 434; 2θ 39.13, d 2.302, I 653; 2θ 50.95, d 1.792, I 292

Unit cell a=7.639 b=7.639 c=7.639 alpha=95.44 beta=95.44 gamma=95.44
Fractional positions:
Rb (0.126, 0.750, 0.374)
Rb (0.250, 0.626, 0.874)
Rb (0.374, 0.126, 0.750)
Rb (0.626, 0.874, 0.250)
Rb (0.750, 0.374, 0.126)
Rb (0.874, 0.250, 0.626)
Cr (0.000, 0.000, 0.000)
Cr (0.500, 0.500, 0.500)
H (0.075, 0.124, 0.312)
H (0.124, 0.312, 0.075)
H (0.188, 0.376, 0.425)
H (0.312, 0.075, 0.124)
H (0.376, 0.425, 0.188)
H (0.425, 0.188, 0.376)
H (0.575, 0.812, 0.624)
H (0.624, 0.575, 0.812)
H (0.688, 0.925, 0.876)
H (0.812, 0.624, 0.575)
H (0.876, 0.688, 0.925)
H (0.925, 0.876, 0.688)
O (0.043, 0.905, 0.748)
O (0.095, 0.252, 0.957)
O (0.248, 0.405, 0.543)
O (0.252, 0.957, 0.095)
O (0.405, 0.543, 0.248)
O (0.457, 0.752, 0.595)
O (0.543, 0.248, 0.405)
O (0.595, 0.457, 0.752)
O (0.748, 0.043, 0.905)
O (0.752, 0.595, 0.457)
O (0.905, 0.748, 0.043)
O (0.957, 0.095, 0.252)


# 6
For VN2F6, DFT lattice parameters and positions (GGA+U) gives the calculated X-ray diffraction stick pattern in this record (copper Kα).
Neutral-atom scattering factors, no anomalous dispersion.

The 6 most intense peaks (2θ from 15° to 90°), sorted by position:
2θ 19.23, d 4.616, I 1000; 2θ 22.24, d 3.998, I 451; 2θ 37.30, d 2.411, I 225; 2θ 39.03, d 2.308, I 253; 2θ 45.37, d 1.999, I 508; 2θ 66.11, d 1.413, I 233

Unit cell a=5.654 b=5.654 c=5.654 alpha=60.00 beta=60.00 gamma=60.00
Fractional positions:
V (0.000, 0.000, 0.000)
N (0.250, 0.250, 0.250)
N (0.750, 0.750, 0.750)
F (0.227, 0.227, 0.773)
F (0.227, 0.773, 0.227)
F (0.227, 0.773, 0.773)
F (0.773, 0.227, 0.227)
F (0.773, 0.227, 0.773)
F (0.773, 0.773, 0.227)